Record 1
# ZnP2
Theoretical powder XRD pattern, Cu Ka. Input: a crystal structure in the Materials Project, relaxed with GGA-PBE.
No peak broadening, texture or thermal motion is included.

Principal peaks in the range 10° ≤ 2θ ≤ 90°, in order of rising 2θ:
d 3.745, 2θ 23.8, I 62; d 3.393, 2θ 26.3, I 100; d 3.213, 2θ 27.8, I 78; d 3.171, 2θ 28.1, I 80; d 2.811, 2θ 31.8, I 48; d 2.364, 2θ 38.1, I 26; d 2.100, 2θ 43.1, I 26; d 1.912, 2θ 47.6, I 43; d 1.823, 2θ 50.0, I 40; d 1.804, 2θ 50.6, I 56

Atomic structure:
a = 8.9312 Å, b = 7.3710 Å, c = 7.6473 Å
α = 90.00°, β = 103.18°, γ = 90.00°
Space group P2_1/c (No. 14)
One atom of each set of equivalent atoms:
Zn1 0.0788 0.2402 0.1442 (multiplicity 4)
Zn2 0.3860 0.5863 0.4733 (multiplicity 4)
P1 0.0819 0.7481 0.6482 (multiplicity 4)
P2 0.2336 0.5124 0.1793 (multiplicity 4)
P3 0.2422 0.5179 0.6933 (multiplicity 4)
P4 0.3815 0.5814 0.9750 (multiplicity 4)


Record 2
# Na2MgNbP3O12
Theoretical powder XRD pattern, Cu Ka. Input: a crystal structure in the Materials Project, relaxed with GGA-PBE.
No peak broadening, texture or thermal motion is included.

Principal peaks in the range 10° ≤ 2θ ≤ 90°, in order of rising 2θ:
d 6.368, 2θ 13.9, I 54; d 6.313, 2θ 14.0, I 56; d 4.535, 2θ 19.6, I 82; d 4.432, 2θ 20.0, I 41; d 3.824, 2θ 23.3, I 44; d 3.802, 2θ 23.4, I 90; d 3.156, 2θ 28.3, I 41; d 2.870, 2θ 31.2, I 49; d 2.856, 2θ 31.3, I 100; d 2.547, 2θ 35.2, I 37

Atomic structure:
a = 15.3886 Å, b = 8.8022 Å, c = 9.0640 Å
α = 90.00°, β = 124.14°, γ = 90.00°
Space group Cc (No. 9)
One atom of each set of equivalent atoms:
Na1 0.0000 0.1130 0.0000 (multiplicity 4)
Na2 0.2581 0.2486 0.2624 (multiplicity 4)
Mg1 0.3976 0.2471 0.6867 (multiplicity 4)
Nb1 0.1088 0.2549 0.8035 (multiplicity 4)
P1 0.1472 0.1092 0.4837 (multiplicity 4)
P2 0.3576 0.3960 0.9907 (multiplicity 4)
P3 0.4977 0.0406 0.4852 (multiplicity 4)
O1 0.0486 0.1679 0.3176 (multiplicity 4)
O2 0.0711 0.4370 0.6576 (multiplicity 4)
O3 0.0805 0.3582 0.9745 (multiplicity 4)
O4 0.1395 0.1358 0.6518 (multiplicity 4)
O5 0.1464 0.0724 0.9749 (multiplicity 4)
O6 0.2462 0.1719 0.5131 (multiplicity 4)
O7 0.2595 0.3177 0.9723 (multiplicity 4)
O8 0.3552 0.4341 0.5172 (multiplicity 4)
O9 0.3622 0.3673 0.8324 (multiplicity 4)
O10 0.4328 0.1513 0.5134 (multiplicity 4)
O11 0.4347 0.0577 0.8258 (multiplicity 4)
O12 0.4574 0.3214 0.1648 (multiplicity 4)